Record 1
This entry pairs a crystal structure of Ac2ThAs2S2 with its simulated powder diffraction line list. Radiation: Cu Kα (weighted mean of Kα1 and Kα2). Structure: the GGA-PBE geometry in Alexandria.
Peak positions follow from Bragg's law for the DFT cell and can differ from measured ones.

Structure:
abc: 5.636 5.636 14.903
angles: 90.00 90.00 90.00
Sites, in units of the cell vectors:
Ac (0.000, 0.000, 0.127)
Ac (0.000, 0.000, 0.873)
Ac (0.500, 0.500, 0.373)
Ac (0.500, 0.500, 0.627)
Th (0.000, 0.000, 0.500)
Th (0.500, 0.500, 0.000)
As (0.000, 0.500, 0.000)
As (0.000, 0.500, 0.500)
As (0.500, 0.000, 0.000)
As (0.500, 0.000, 0.500)
S (0.000, 0.000, 0.313)
S (0.000, 0.000, 0.687)
S (0.500, 0.500, 0.187)
S (0.500, 0.500, 0.813)

Top 10 peaks for 10 to 90 degrees two-theta, most intense first:
two_theta, d/Å, I (rel.)
23.88, 3.727, 100.0
22.31, 3.985, 84.9
31.76, 2.818, 83.8
34.02, 2.635, 77.4
47.23, 1.925, 55.0
40.12, 2.248, 54.7
11.88, 7.452, 53.2
45.53, 1.992, 32.6
59.48, 1.554, 28.8
32.91, 2.722, 27.2

Record 2
This entry pairs a crystal structure of AcZnAsS with its simulated powder diffraction line list. Radiation: Cu Kα (weighted mean of Kα1 and Kα2). Structure: the GGA-PBE geometry in Alexandria.
Peak positions follow from Bragg's law for the DFT cell and can differ from measured ones.

Structure:
abc: 11.918 11.918 11.918
angles: 22.22 22.22 22.22
Sites, in units of the cell vectors:
Ac (0.107, 0.107, 0.107)
Ac (0.893, 0.893, 0.893)
Zn (0.306, 0.306, 0.306)
Zn (0.694, 0.694, 0.694)
As (0.379, 0.379, 0.379)
As (0.621, 0.621, 0.621)
S (0.197, 0.197, 0.197)
S (0.803, 0.803, 0.803)

Top 10 peaks for 10 to 90 degrees two-theta, most intense first:
two_theta, d/Å, I (rel.)
24.60, 3.619, 100.0
39.23, 2.297, 73.5
34.20, 2.622, 66.9
25.79, 3.455, 48.0
42.85, 2.111, 24.8
62.72, 1.481, 20.0
46.86, 1.939, 20.0
22.50, 3.952, 19.3
53.01, 1.728, 19.1
67.89, 1.381, 18.1

Record 3
This entry pairs a crystal structure of Ac2SbAs4 with its simulated powder diffraction line list. Radiation: Cu Kα (weighted mean of Kα1 and Kα2). Structure: the GGA-PBE geometry in Alexandria.
Peak positions follow from Bragg's law for the DFT cell and can differ from measured ones.

Structure:
abc: 4.189 4.189 11.621
angles: 90.00 90.00 90.00
Sites, in units of the cell vectors:
Ac (0.000, 0.500, 0.214)
Ac (0.500, 0.000, 0.786)
Sb (0.000, 0.000, 0.500)
As (0.000, 0.000, 0.000)
As (0.000, 0.500, 0.673)
As (0.500, 0.000, 0.327)
As (0.500, 0.500, 0.000)

Top 10 peaks for 10 to 90 degrees two-theta, most intense first:
two_theta, d/Å, I (rel.)
33.97, 2.639, 100.0
22.56, 3.941, 47.3
26.23, 3.398, 40.1
43.19, 2.094, 34.0
37.68, 2.387, 34.0
31.46, 2.844, 25.0
73.30, 1.291, 23.3
58.64, 1.574, 19.0
30.78, 2.905, 13.5
51.24, 1.783, 12.9

Record 4
This entry pairs a crystal structure of Ac7SbAs5 with its simulated powder diffraction line list. Radiation: Cu Kα (weighted mean of Kα1 and Kα2). Structure: the GGA-PBE geometry in Alexandria.
Peak positions follow from Bragg's law for the DFT cell and can differ from measured ones.

Structure:
abc: 7.820 7.820 26.879
angles: 90.00 90.00 146.12
Sites, in units of the cell vectors:
Ac (0.036, 0.964, 0.750)
Ac (0.137, 0.863, 0.035)
Ac (0.137, 0.863, 0.465)
Ac (0.321, 0.679, 0.674)
Ac (0.321, 0.679, 0.826)
Ac (0.411, 0.589, 0.105)
Ac (0.411, 0.589, 0.395)
Ac (0.589, 0.411, 0.605)
Ac (0.589, 0.411, 0.895)
Ac (0.679, 0.321, 0.174)
Ac (0.679, 0.321, 0.326)
Ac (0.863, 0.137, 0.535)
Ac (0.863, 0.137, 0.965)
Ac (0.964, 0.036, 0.250)
Sb (0.298, 0.702, 0.250)
Sb (0.702, 0.298, 0.750)
As (0.045, 0.955, 0.144)
As (0.045, 0.955, 0.356)
As (0.227, 0.773, 0.573)
As (0.227, 0.773, 0.927)
As (0.500, 0.500, 0.000)
As (0.500, 0.500, 0.500)
As (0.773, 0.227, 0.073)
As (0.773, 0.227, 0.427)
As (0.955, 0.045, 0.644)
As (0.955, 0.045, 0.856)

Top 10 peaks for 10 to 90 degrees two-theta, most intense first:
two_theta, d/Å, I (rel.)
26.09, 3.416, 100.0
27.33, 3.263, 97.7
28.34, 3.149, 79.2
39.56, 2.278, 39.8
48.00, 1.895, 39.6
39.75, 2.268, 37.7
24.34, 3.657, 37.2
39.38, 2.288, 31.8
49.84, 1.829, 23.5
26.32, 3.386, 22.8

Record 5
This entry pairs a crystal structure of Ac6SbAs2Se3 with its simulated powder diffraction line list. Radiation: Cu Kα (weighted mean of Kα1 and Kα2). Structure: the GGA-PBE geometry in Alexandria.
Peak positions follow from Bragg's law for the DFT cell and can differ from measured ones.

Structure:
abc: 10.178 10.178 9.098
angles: 102.56 102.56 25.91
Sites, in units of the cell vectors:
Ac (0.003, 0.003, 0.259)
Ac (0.330, 0.330, 0.907)
Ac (0.331, 0.331, 0.422)
Ac (0.669, 0.669, 0.578)
Ac (0.670, 0.670, 0.093)
Ac (0.997, 0.997, 0.741)
Sb (0.500, 0.500, 0.000)
As (0.168, 0.168, 0.334)
As (0.832, 0.832, 0.666)
Se (0.165, 0.165, 0.833)
Se (0.500, 0.500, 0.500)
Se (0.835, 0.835, 0.167)

Top 10 peaks for 10 to 90 degrees two-theta, most intense first:
two_theta, d/Å, I (rel.)
27.69, 3.222, 100.0
39.47, 2.283, 38.9
39.64, 2.274, 38.6
23.88, 3.726, 26.7
48.89, 1.863, 21.1
64.81, 1.439, 18.0
71.66, 1.317, 13.3
57.18, 1.611, 13.2
64.55, 1.444, 11.9
46.70, 1.945, 10.8

Record 6
This entry pairs a crystal structure of Ac4SnSb2As with its simulated powder diffraction line list. Radiation: Cu Kα (weighted mean of Kα1 and Kα2). Structure: the GGA-PBE geometry in Alexandria.
Peak positions follow from Bragg's law for the DFT cell and can differ from measured ones.

Structure:
abc: 8.172 4.703 8.311
angles: 90.00 109.06 90.00
Sites, in units of the cell vectors:
Ac (0.240, 0.000, 0.239)
Ac (0.246, 0.500, 0.758)
Ac (0.754, 0.500, 0.242)
Ac (0.760, 0.000, 0.761)
Sn (0.000, 0.000, 0.500)
Sb (0.500, 0.000, 0.000)
Sb (0.500, 0.500, 0.500)
As (0.000, 0.500, 0.000)

Top 10 peaks for 10 to 90 degrees two-theta, most intense first:
two_theta, d/Å, I (rel.)
26.58, 3.354, 100.0
37.67, 2.388, 39.9
38.21, 2.355, 38.9
23.07, 3.855, 15.1
47.20, 1.926, 14.3
54.74, 1.677, 13.7
61.45, 1.509, 12.6
62.19, 1.493, 12.5
68.77, 1.365, 9.3
46.23, 1.964, 7.4